Ba2LiZn16: simulated powder X-ray diffraction pattern (Cu Kα (weighted mean of Kα1 and Kα2)), based on a crystal structure in Alexandria, relaxed with GGA-PBE.
No peak broadening, texture or thermal motion is included.

Peak list (10 most intense, 15 to 90 degrees two-theta, by intensity)
2θ (°)  I (rel.)
38.63  100
38.36  61
39.43  56
43.35  41
56.18  34
27.24  32
55.60  28
34.22  25
33.06  25
70.99  17

Lattice parameters (Å, degrees): 7.0888 7.0888 7.0888 82.92 82.92 82.92
Atoms (fractional coordinates):
1 Ba 0.0000 0.0000 0.0000
2 Ba 0.3152 0.3152 0.3152
3 Li 0.5630 0.5630 0.5630
4 Zn 0.1582 0.6558 0.6558
5 Zn 0.3161 0.3161 0.8083
6 Zn 0.3161 0.8083 0.3161
7 Zn 0.3751 0.6560 0.9372
8 Zn 0.3751 0.9372 0.6560
9 Zn 0.5035 0.9979 0.9979
10 Zn 0.6558 0.1582 0.6558
11 Zn 0.6560 0.3751 0.9372
12 Zn 0.6558 0.6558 0.1582
13 Zn 0.6560 0.9372 0.3751
14 Zn 0.7589 0.7589 0.7589
15 Zn 0.8083 0.3161 0.3161
16 Zn 0.9372 0.3751 0.6560
17 Zn 0.9372 0.6560 0.3751
18 Zn 0.9979 0.5035 0.9979
19 Zn 0.9979 0.9979 0.5036

***

Ba3Lu4O9: simulated powder X-ray diffraction pattern (Cu Kα (weighted mean of Kα1 and Kα2)), based on a crystal structure in Alexandria, relaxed with GGA-PBE.
No peak broadening, texture or thermal motion is included.

Peak list (10 most intense, 15 to 90 degrees two-theta, by intensity)
2θ (°)  I (rel.)
29.62  100
30.36  80
42.93  41
53.03  35
52.56  22
44.39  17
61.50  16
18.41  16
70.12  15
85.12  11

Lattice parameters (Å, degrees): 9.0156 9.0156 9.0156 39.08 39.08 39.08
Atoms (fractional coordinates):
1 Ba 0.0000 0.0000 0.0000
2 Ba 0.1615 0.1615 0.1615
3 Ba 0.5825 0.5825 0.5825
4 Lu 0.2988 0.2988 0.2988
5 Lu 0.4233 0.4233 0.4233
6 Lu 0.7374 0.7374 0.7374
7 Lu 0.8621 0.8621 0.8621
8 O 0.0390 0.5784 0.4572
9 O 0.0484 0.1124 0.5811
10 O 0.1124 0.5811 0.0484
11 O 0.1194 0.5852 0.7004
12 O 0.4572 0.0390 0.5784
13 O 0.5784 0.4572 0.0390
14 O 0.5811 0.0484 0.1124
15 O 0.5852 0.7004 0.1194
16 O 0.7004 0.1194 0.5852

***

BaLu2Se: simulated powder X-ray diffraction pattern (Cu Kα (weighted mean of Kα1 and Kα2)), based on a crystal structure in Alexandria, relaxed with GGA-PBE.
No peak broadening, texture or thermal motion is included.

Peak list (10 most intense, 15 to 90 degrees two-theta, by intensity)
2θ (°)  I (rel.)
35.46  100
27.48  79
39.38  64
27.91  55
48.32  53
24.97  53
30.74  43
55.14  37
73.07  31
61.35  20

Lattice parameters (Å, degrees): 10.9183 10.9183 10.9183 19.87 19.87 19.87
Atoms (fractional coordinates):
1 Ba 0.0000 0.0000 0.0000
2 Lu 0.1126 0.1126 0.1126
3 Lu 0.8874 0.8874 0.8874
4 Se 0.5000 0.5000 0.5000